# Fe5Ni6Rh2
Calculated X-ray powder pattern, Cu Kα. Input: a crystal structure in Alexandria, relaxed with GGA-PBE.

Peak list (10 most intense, 2θ from 5° to 70°, by angle)
| two_theta | Rel. int. | h k l |
| --- | --- | --- |
| 39.00 | 20.2 | 1 6 0 |
| 42.85 | 19.2 | 2 2 1 |
| 43.11 | 63.5 | 4 1 0 |
| 44.47 | 54.6 | 1 4 1 |
| 44.92 | 24.9 | 3 5 0 |
| 45.21 | 100.0 | 2 3 1 |
| 45.36 | 52.8 | 1 7 0 |
| 48.36 | 38.6 | 2 4 1 |
| 49.83 | 18.8 | 3 6 0 |
| 51.54 | 25.9 | 3 3 1 |

Atomic structure:
abc: 8.4833 14.4023 2.5852
angles: 90.00 90.00 90.00
Atoms (fractional coordinates):
Fe1 0.0000 0.0000 0.0000
Fe2 0.0919 0.2790 0.0000
Fe3 0.2043 0.5539 0.0000
Fe4 0.2957 0.0539 0.0000
Fe5 0.4081 0.7790 0.0000
Fe6 0.5000 0.5000 0.0000
Fe7 0.5919 0.2210 0.0000
Fe8 0.7043 0.9461 0.0000
Fe9 0.7957 0.4461 0.0000
Fe10 0.9081 0.7210 0.0000
Ni1 0.0599 0.4238 0.5000
Ni2 0.0658 0.1353 0.5000
Ni3 0.1910 0.8837 0.0000
Ni4 0.3090 0.3837 0.0000
Ni5 0.4342 0.6353 0.5000
Ni6 0.4401 0.9238 0.5000
Ni7 0.5599 0.0762 0.5000
Ni8 0.5658 0.3647 0.5000
Ni9 0.6910 0.6163 0.0000
Ni10 0.8090 0.1163 0.0000
Ni11 0.9342 0.8647 0.5000
Ni12 0.9401 0.5762 0.5000
Rh1 0.1639 0.7194 0.5000
Rh2 0.3361 0.2194 0.5000
Rh3 0.6639 0.7806 0.5000
Rh4 0.8361 0.2806 0.5000